Record 1
Starting from DFT lattice parameters and positions (GGA-PBE), the PXRD pattern of CsNd2CuTeSe3 was simulated for Cu Ka.
Peak positions follow from Bragg's law for the DFT cell and can differ from measured ones.

Crystal structure
```
16
Lattice="2.167 -7.579 0.000 2.167 7.579 0.000 0.000 0.000 15.048" Properties=species:S:1:pos:R:3 pbc="T T T"
Cs 2.167 5.724 11.286
Cs 2.167 -5.724 3.762
Nd 2.167 2.028 8.341
Nd 2.167 2.028 14.231
Nd 2.167 -2.028 0.817
Nd 2.167 -2.028 6.707
Cu 2.167 5.092 3.762
Cu 2.167 -5.092 11.286
Te 2.167 1.023 11.286
Te 2.167 -1.023 3.762
Se 0.000 0.000 0.000
Se 0.000 0.000 7.524
Se 2.167 3.724 1.639
Se 2.167 3.724 5.885
Se 2.167 -3.724 9.163
Se 2.167 -3.724 13.409
```

The 8 most intense peaks (2θ = 10–90°), most intense first:
| 2θ/deg | Rel. int. |
| --- | --- |
| 29.64 | 100 |
| 27.76 | 76 |
| 40.52 | 39 |
| 41.67 | 33 |
| 36.84 | 30 |
| 21.26 | 29 |
| 26.45 | 24 |
| 40.63 | 22 |

Record 2
Starting from DFT lattice parameters and positions (GGA-PBE), the PXRD pattern of TbNdSi2Br2 was simulated for Cu Ka.
Peak positions follow from Bragg's law for the DFT cell and can differ from measured ones.

Crystal structure
```
6
Lattice="4.090 0.000 0.000 -2.045 3.542 0.000 0.000 0.000 11.224" Properties=species:S:1:pos:R:3 pbc="T T T"
Tb 0.000 0.000 0.000
Nd 0.000 0.000 7.305
Si 0.000 2.361 9.402
Si 2.045 1.181 9.238
Br 0.000 2.361 5.400
Br 2.045 1.181 1.808
```

The 8 most intense peaks (2θ = 10–90°), most intense first:
| 2θ/deg | Rel. int. |
| --- | --- |
| 34.88 | 100 |
| 26.39 | 47 |
| 29.83 | 43 |
| 44.29 | 42 |
| 25.14 | 25 |
| 15.79 | 24 |
| 57.58 | 23 |
| 75.41 | 21 |

Record 3
Starting from DFT lattice parameters and positions (GGA-PBE), the PXRD pattern of Pr4BICl4 was simulated for Cu Ka.
Peak positions follow from Bragg's law for the DFT cell and can differ from measured ones.

Crystal structure
```
10
Lattice="9.048 -2.052 0.000 9.048 2.052 0.000 -2.237 0.000 8.664" Properties=species:S:1:pos:R:3 pbc="T T T"
Pr -0.644 0.000 2.570
Pr 5.403 0.000 3.625
Pr 10.456 0.000 5.038
Pr 16.503 0.000 6.094
B 7.930 0.000 4.332
I 9.048 0.000 0.000
Cl 1.167 0.000 7.011
Cl 2.268 0.000 3.142
Cl 13.591 0.000 5.522
Cl 14.692 0.000 1.653
```

The 8 most intense peaks (2θ = 10–90°), most intense first:
| 2θ/deg | Rel. int. |
| --- | --- |
| 29.54 | 100 |
| 10.10 | 61 |
| 43.06 | 60 |
| 10.21 | 52 |
| 30.61 | 45 |
| 29.89 | 32 |
| 27.07 | 27 |
| 20.30 | 25 |

Record 4
Starting from DFT lattice parameters and positions (GGA-PBE), the PXRD pattern of NaHg3Te4W was simulated for Cu Ka.
Peak positions follow from Bragg's law for the DFT cell and can differ from measured ones.

Crystal structure
```
9
Lattice="7.623 0.000 0.000 0.000 7.623 0.000 0.000 0.000 7.623" Properties=species:S:1:pos:R:3 pbc="T T T"
Na 0.000 0.000 0.000
Hg 0.000 3.811 3.811
Hg 3.811 0.000 3.811
Hg 3.811 3.811 0.000
Te 2.325 2.325 2.325
Te 2.325 5.297 5.297
Te 5.297 2.325 5.297
Te 5.297 5.297 2.325
W 3.811 3.811 3.811
```

The 8 most intense peaks (2θ = 10–90°), most intense first:
| 2θ/deg | Rel. int. |
| --- | --- |
| 11.61 | 100 |
| 33.24 | 75 |
| 20.18 | 50 |
| 42.77 | 29 |
| 35.32 | 26 |
| 39.20 | 24 |
| 59.40 | 19 |
| 53.78 | 18 |

Question: Which formula does entry 4 have?
Answer: NaHg3Te4W

Repeat the second record exactly.
Starting from DFT lattice parameters and positions (GGA-PBE), the PXRD pattern of TbNdSi2Br2 was simulated for Cu Ka.
Peak positions follow from Bragg's law for the DFT cell and can differ from measured ones.

Crystal structure
```
6
Lattice="4.090 0.000 0.000 -2.045 3.542 0.000 0.000 0.000 11.224" Properties=species:S:1:pos:R:3 pbc="T T T"
Tb 0.000 0.000 0.000
Nd 0.000 0.000 7.305
Si 0.000 2.361 9.402
Si 2.045 1.181 9.238
Br 0.000 2.361 5.400
Br 2.045 1.181 1.808
```

The 8 most intense peaks (2θ = 10–90°), most intense first:
| 2θ/deg | Rel. int. |
| --- | --- |
| 34.88 | 100 |
| 26.39 | 47 |
| 29.83 | 43 |
| 44.29 | 42 |
| 25.14 | 25 |
| 15.79 | 24 |
| 57.58 | 23 |
| 75.41 | 21 |